For SrZn2NiF8, a DFT-relaxed cell (PBE+U, Alexandria) gives the computed XRD peak list in this record (Cu Kα, 1.54184 Å).
Neutral-atom scattering factors, no anomalous dispersion.

```
data_SrZn2NiF8
_cell_length_a 5.2842
_cell_length_b 5.2842
_cell_length_c 11.3393
_cell_angle_alpha 90.00
_cell_angle_beta 90.00
_cell_angle_gamma 90.00
_symmetry_space_group_name_H-M 'I -4'
_symmetry_Int_Tables_number 82
loop_
_symmetry_equiv_pos_as_xyz
'x,y,z'
'y,-x,-z'
'-x,-y,z'
'-y,x,-z'
'x+1/2,y+1/2,z+1/2'
'y+1/2,-x+1/2,-z+1/2'
'-x+1/2,-y+1/2,z+1/2'
'-y+1/2,x+1/2,-z+1/2'
loop_
_atom_site_label
_atom_site_fract_x
_atom_site_fract_y
_atom_site_fract_z
Sr1 0.0000 0.0000 0.0000
Zn1 0.0000 0.0000 0.5000
Zn2 0.0000 0.5000 0.7500
Ni1 0.0000 0.5000 0.2500
F1 0.1634 0.7354 0.5907
F2 0.1986 0.2280 0.1783
```

Main lines, in order of rising 2θ (2θ from 10° to 80°):
d/Å, Position (°2θ), intensity
3.120, 28.6, 100
2.835, 31.6, 11
2.642, 33.9, 11
1.933, 47.0, 35
1.868, 48.7, 19
1.686, 54.4, 17
1.603, 57.5, 29
1.252, 76.0, 11